Entry 1:
The following is a theoretical powder XRD pattern of SrCaIn2. It was derived from DFT lattice parameters and positions (PBE), using Cu Kα (weighted mean of Kα1 and Kα2).

Structural model:
```
SrCaIn2
1.0
7.9511 0.0000 0.0000
0.0000 7.9511 0.0000
0.0000 0.0000 7.9511
Sr Ca In
4 4 8
Direct
0.0000 0.0000 0.0000
0.0000 0.5000 0.5000
0.5000 0.0000 0.5000
0.5000 0.5000 0.0000
0.0000 0.0000 0.5000
0.0000 0.5000 0.0000
0.5000 0.0000 0.0000
0.5000 0.5000 0.5000
0.2500 0.2500 0.2500
0.2500 0.2500 0.7500
0.2500 0.7500 0.2500
0.2500 0.7500 0.7500
0.7500 0.2500 0.2500
0.7500 0.2500 0.7500
0.7500 0.7500 0.2500
0.7500 0.7500 0.7500
```

Most intense lines, 5° ≤ 2θ ≤ 70°, in order of rising 2θ:
| 2θ/deg | Rel. int. |
| --- | --- |
| 19.34 | 3 |
| 22.36 | 9 |
| 31.83 | 100 |
| 39.25 | 3 |
| 45.64 | 18 |
| 51.39 | 4 |
| 56.72 | 37 |
| 66.52 | 11 |

=====

Entry 2:
The following is a theoretical powder XRD pattern of CaTmIn2. It was derived from DFT lattice parameters and positions (PBE), using Cu Kα (weighted mean of Kα1 and Kα2).

Structural model:
```
CaTmIn2
1.0
7.5871 0.0000 0.0000
0.0000 7.5871 0.0000
0.0000 0.0000 7.5871
Ca Tm In
4 4 8
Direct
0.0000 0.0000 0.0000
0.0000 0.5000 0.5000
0.5000 0.0000 0.5000
0.5000 0.5000 0.0000
0.0000 0.0000 0.5000
0.0000 0.5000 0.0000
0.5000 0.0000 0.0000
0.5000 0.5000 0.5000
0.2500 0.2500 0.2500
0.2500 0.2500 0.7500
0.2500 0.7500 0.2500
0.2500 0.7500 0.7500
0.7500 0.2500 0.2500
0.7500 0.2500 0.7500
0.7500 0.7500 0.2500
0.7500 0.7500 0.7500
```

Most intense lines, 5° ≤ 2θ ≤ 70°, in order of rising 2θ:
| 2θ/deg | Rel. int. |
| --- | --- |
| 20.27 | 18 |
| 33.40 | 100 |
| 39.39 | 10 |
| 47.96 | 18 |
| 52.58 | 5 |
| 59.71 | 36 |
| 63.74 | 4 |

=====

Entry 3:
The following is a theoretical powder XRD pattern of Ca2ZnIn. It was derived from DFT lattice parameters and positions (PBE), using Cu Kα (weighted mean of Kα1 and Kα2).

Structural model:
```
Ca2ZnIn
1.0
7.5676 0.0000 0.0000
0.0000 7.5676 0.0000
0.0000 0.0000 7.5676
Ca Zn In
8 4 4
Direct
0.2500 0.2500 0.2500
0.2500 0.2500 0.7500
0.2500 0.7500 0.2500
0.2500 0.7500 0.7500
0.7500 0.2500 0.2500
0.7500 0.2500 0.7500
0.7500 0.7500 0.2500
0.7500 0.7500 0.7500
0.0000 0.0000 0.0000
0.0000 0.5000 0.5000
0.5000 0.0000 0.5000
0.5000 0.5000 0.0000
0.0000 0.0000 0.5000
0.0000 0.5000 0.0000
0.5000 0.0000 0.0000
0.5000 0.5000 0.5000
```

Most intense lines, 5° ≤ 2θ ≤ 70°, in order of rising 2θ:
| 2θ/deg | Rel. int. |
| --- | --- |
| 20.33 | 6 |
| 23.51 | 17 |
| 33.49 | 100 |
| 39.49 | 3 |
| 41.33 | 6 |
| 48.09 | 17 |
| 54.20 | 8 |
| 59.88 | 34 |

=====

Entry 4:
The following is a theoretical powder XRD pattern of Ca4Ir. It was derived from DFT lattice parameters and positions (PBE), using Cu Kα (weighted mean of Kα1 and Kα2).

Structural model:
```
Ca4Ir
1.0
0.0000 5.8173 5.8173
5.8173 0.0000 5.8173
5.8173 5.8173 0.0000
Ca Ir
8 2
Direct
0.2364 0.7545 0.7545
0.2455 0.2455 0.2455
0.2455 0.2455 0.7636
0.2455 0.7636 0.2455
0.7545 0.2364 0.7545
0.7545 0.7545 0.2364
0.7545 0.7545 0.7545
0.7636 0.2455 0.2455
0.3750 0.3750 0.3750
0.6250 0.6250 0.6250
```

Most intense lines, 5° ≤ 2θ ≤ 70°, in order of rising 2θ:
| 2θ/deg | Rel. int. |
| --- | --- |
| 13.18 | 89 |
| 21.60 | 100 |
| 25.39 | 65 |
| 26.54 | 34 |
| 33.58 | 39 |
| 37.88 | 48 |
| 40.28 | 30 |
| 44.03 | 54 |

=====

Entry 5:
The following is a theoretical powder XRD pattern of LiCa2Ir. It was derived from DFT lattice parameters and positions (PBE), using Cu Kα (weighted mean of Kα1 and Kα2).

Structural model:
```
LiCa2Ir
1.0
7.0782 0.0000 0.0000
0.0000 7.0782 0.0000
0.0000 0.0000 7.0782
Li Ca Ir
4 8 4
Direct
0.0000 0.0000 0.0000
0.0000 0.5000 0.5000
0.5000 0.0000 0.5000
0.5000 0.5000 0.0000
0.2500 0.2500 0.2500
0.2500 0.2500 0.7500
0.2500 0.7500 0.2500
0.2500 0.7500 0.7500
0.7500 0.2500 0.2500
0.7500 0.2500 0.7500
0.7500 0.7500 0.2500
0.7500 0.7500 0.7500
0.0000 0.0000 0.5000
0.0000 0.5000 0.0000
0.5000 0.0000 0.0000
0.5000 0.5000 0.5000
```

Most intense lines, 5° ≤ 2θ ≤ 70°, in order of rising 2θ:
| 2θ/deg | Rel. int. |
| --- | --- |
| 21.75 | 100 |
| 25.16 | 18 |
| 35.88 | 98 |
| 42.35 | 54 |
| 51.65 | 17 |
| 56.69 | 23 |
| 64.49 | 34 |
| 68.94 | 17 |

=====

Entry 6:
The following is a theoretical powder XRD pattern of Ca7IrN6. It was derived from DFT lattice parameters and positions (PBE), using Cu Kα (weighted mean of Kα1 and Kα2).

Structural model:
```
Ca7IrN6
1.0
-3.1853 5.8860 6.1159
3.1853 -5.8860 6.1159
3.1853 5.8860 -6.1159
Ca Ir N
14 2 12
Direct
0.0458 0.2243 0.2701
0.0898 0.4988 0.8490
0.1498 0.9988 0.4090
0.2500 0.2500 0.0000
0.3502 0.7592 0.8490
0.4102 0.2592 0.4090
0.4542 0.7243 0.1786
0.5458 0.2757 0.8214
0.5898 0.7408 0.5910
0.6498 0.2408 0.1510
0.7500 0.7500 0.0000
0.8502 0.0012 0.5910
0.9102 0.5012 0.1510
0.9542 0.7757 0.7299
0.2500 0.7500 0.5000
0.7500 0.2500 0.5000
0.0775 0.8944 0.5800
0.1488 0.8936 0.0424
0.1857 0.6056 0.1831
0.3143 0.4974 0.4200
0.3512 0.3936 0.7448
0.4225 0.0026 0.8169
0.5775 0.9974 0.1831
0.6488 0.6064 0.2552
0.6857 0.5026 0.5800
0.8143 0.3944 0.8169
0.8512 0.1064 0.9576
0.9225 0.1056 0.4200
```

Most intense lines, 5° ≤ 2θ ≤ 70°, in order of rising 2θ:
| 2θ/deg | Rel. int. |
| --- | --- |
| 14.48 | 52 |
| 15.82 | 67 |
| 20.95 | 39 |
| 21.51 | 98 |
| 31.67 | 40 |
| 33.01 | 100 |
| 35.24 | 73 |
| 44.45 | 38 |